No. 1
This entry pairs a crystal structure of YCd6Au with its computed powder X-ray diffraction pattern. Radiation: Cu Kα (weighted mean of Kα1 and Kα2). Structure: a crystal structure in Alexandria, relaxed with PBE.

The 10 most intense peaks (2θ from 5° to 70°), by angle:
| 2theta | I/Imax | h k l |
| --- | --- | --- |
| 16.43 | 13.5 | 0 1 1 |
| 28.02 | 10.9 | 0 0 4 |
| 31.79 | 28.5 | 1 1 3 |
| 33.20 | 29.0 | 0 2 2 |
| 33.67 | 58.8 | 1 0 4 |
| 37.08 | 41.9 | 2 0 0 |
| 38.17 | 100.0 | 1 2 2 |
| 50.62 | 17.1 | 2 2 2 |
| 62.33 | 13.6 | 0 4 0 |
| 67.56 | 17.8 | 3 2 2 |

a = 4.849 Å, b = 5.957 Å, c = 12.736 Å
α = 90.00°, β = 90.00°, γ = 90.00°
Space group Amm2 (No. 38)
Inequivalent atoms, fractional coordinates:
Y: 0.000 0.000 0.000 (multiplicity 2)
Cd: 0.000 0.241 0.734 (multiplicity 4)
Cd: 0.500 0.000 0.160 (multiplicity 2)
Cd: 0.500 0.000 0.594 (multiplicity 2)
Cd: 0.500 0.243 0.882 (multiplicity 4)
Au: 0.000 0.000 0.436 (multiplicity 2)


No. 2
This entry pairs a crystal structure of Y2Cd2Au with its computed powder X-ray diffraction pattern. Radiation: Cu Kα (weighted mean of Kα1 and Kα2). Structure: a crystal structure in Alexandria, relaxed with PBE.

The 10 most intense peaks (2θ from 5° to 70°), by angle:
| 2theta | I/Imax | h k l |
| --- | --- | --- |
| 8.58 | 28.9 | 0 2 0 |
| 31.09 | 41.3 | 0 4 1 |
| 33.25 | 100.0 | 1 5 0 |
| 36.42 | 81.4 | 1 1 1 |
| 36.84 | 51.5 | 0 6 1 |
| 42.48 | 18.3 | 1 5 1 |
| 43.95 | 20.0 | 0 10 0 |
| 62.05 | 25.6 | 1 11 1 |
| 63.83 | 29.4 | 1 5 2 |
| 64.81 | 19.3 | 2 6 1 |

a = 3.562 Å, b = 20.602 Å, c = 3.468 Å
α = 90.00°, β = 90.00°, γ = 90.00°
Space group Cmmm (No. 65)
Inequivalent atoms, fractional coordinates:
Y: 0.000 0.090 0.000 (multiplicity 4)
Cd: 0.000 0.306 0.500 (multiplicity 4)
Au: 0.000 0.500 0.500 (multiplicity 2)


No. 3
This entry pairs a crystal structure of YCdAu with its computed powder X-ray diffraction pattern. Radiation: Cu Kα (weighted mean of Kα1 and Kα2). Structure: a crystal structure in Alexandria, relaxed with PBE.

The 10 most intense peaks (2θ from 5° to 70°), by angle:
| 2theta | I/Imax | h k l |
| --- | --- | --- |
| 25.53 | 22.8 | 0 1 1 |
| 32.31 | 88.2 | 3 1 1 |
| 34.73 | 29.9 | 4 0 2 |
| 34.94 | 100.0 | 4 1 0 |
| 38.02 | 37.1 | 3 1 2 |
| 39.56 | 86.5 | 6 0 0 |
| 42.00 | 61.3 | 1 1 3 |
| 46.69 | 34.1 | 0 2 0 |
| 62.81 | 44.0 | 6 2 0 |
| 64.01 | 30.5 | 7 1 3 |

a = 13.683 Å, b = 3.891 Å, c = 7.881 Å
α = 90.00°, β = 90.00°, γ = 90.00°
Space group Pmma (No. 51)
Inequivalent atoms, fractional coordinates:
Y: 0.049 0.000 0.230 (multiplicity 4)
Y: 0.250 0.000 0.827 (multiplicity 2)
Cd: 0.107 0.500 0.561 (multiplicity 4)
Cd: 0.250 0.500 0.182 (multiplicity 2)
Au: 0.096 0.500 0.933 (multiplicity 4)
Au: 0.250 0.000 0.445 (multiplicity 2)


No. 4
This entry pairs a crystal structure of YCd9Au3 with its computed powder X-ray diffraction pattern. Radiation: Cu Kα (weighted mean of Kα1 and Kα2). Structure: a crystal structure in Alexandria, relaxed with PBE.

The 10 most intense peaks (2θ from 5° to 70°), by angle:
| 2theta | I/Imax | h k l |
| --- | --- | --- |
| 17.72 | 54.7 | 0 2 1 |
| 31.19 | 35.8 | 1 3 -2 |
| 35.90 | 100.0 | 0 4 2 |
| 36.20 | 39.3 | 1 5 0 |
| 36.73 | 97.0 | 2 2 -2 |
| 40.16 | 36.9 | 0 2 3 |
| 40.42 | 45.8 | 0 6 1 |
| 41.00 | 52.2 | 2 0 1 |
| 41.13 | 48.7 | 2 4 -1 |
| 65.05 | 38.2 | 2 6 -4 |

a = 5.609 Å, b = 14.102 Å, c = 7.637 Å
α = 90.00°, β = 111.47°, γ = 90.00°
Space group C2/m (No. 12)
Inequivalent atoms, fractional coordinates:
Y: 0.000 0.000 0.000 (multiplicity 2)
Cd: 0.000 0.500 0.500 (multiplicity 2)
Cd: 0.107 0.395 0.208 (multiplicity 8)
Cd: 0.169 0.176 0.344 (multiplicity 8)
Au: 0.000 0.000 0.500 (multiplicity 2)
Au: 0.250 0.250 0.000 (multiplicity 4)


No. 5
This entry pairs a crystal structure of Y4CdAu2 with its computed powder X-ray diffraction pattern. Radiation: Cu Kα (weighted mean of Kα1 and Kα2). Structure: a crystal structure in Alexandria, relaxed with PBE.

The 10 most intense peaks (2θ from 5° to 70°), by angle:
| 2theta | I/Imax | h k l |
| --- | --- | --- |
| 18.68 | 12.5 | 0 0 6 |
| 21.08 | 63.7 | 1 0 1 |
| 24.33 | 35.6 | 1 0 4 |
| 36.52 | 100.0 | 1 1 0 |
| 37.97 | 73.6 | 1 0 10 |
| 40.75 | 22.2 | 0 1 11 |
| 46.75 | 15.5 | 1 1 9 |
| 53.70 | 27.1 | 0 2 10 |
| 65.73 | 17.6 | 3 0 0 |
| 66.69 | 27.7 | 2 1 10 |

a = 4.9213 Å, b = 4.9213 Å, c = 28.5086 Å
α = 90.00°, β = 90.00°, γ = 120.00°
Space group R-3m (No. 166, hexagonal axes)
Inequivalent atoms, fractional coordinates:
Y: 0.0000 0.0000 0.1155 (multiplicity 6)
Y: 0.0000 0.0000 0.2968 (multiplicity 6)
Cd: 0.0000 0.0000 0.5000 (multiplicity 3)
Au: 0.0000 0.0000 0.4002 (multiplicity 6)


No. 6
This entry pairs a crystal structure of Y2Cd3Au2 with its computed powder X-ray diffraction pattern. Radiation: Cu Kα (weighted mean of Kα1 and Kα2). Structure: a crystal structure in Alexandria, relaxed with PBE.

The 10 most intense peaks (2θ from 5° to 70°), by angle:
| 2theta | I/Imax | h k l |
| --- | --- | --- |
| 19.45 | 39.1 | 2 0 -1 |
| 23.87 | 21.6 | 1 1 0 |
| 32.73 | 100.0 | 1 1 -2 |
| 33.79 | 34.1 | 1 1 2 |
| 33.95 | 30.5 | 4 0 0 |
| 36.67 | 85.3 | 3 1 1 |
| 39.49 | 27.1 | 4 0 -2 |
| 39.99 | 53.0 | 2 0 3 |
| 45.54 | 34.9 | 0 2 0 |
| 66.30 | 20.5 | 7 1 -1 |

a = 10.611 Å, b = 3.983 Å, c = 7.821 Å
α = 90.00°, β = 95.06°, γ = 90.00°
Space group C2/m (No. 12)
Inequivalent atoms, fractional coordinates:
Y: 0.120 0.000 0.342 (multiplicity 4)
Cd: 0.000 0.500 0.000 (multiplicity 2)
Cd: 0.192 0.000 0.876 (multiplicity 4)
Au: 0.100 0.500 0.633 (multiplicity 4)


No. 7
This entry pairs a crystal structure of YCd3Au3 with its computed powder X-ray diffraction pattern. Radiation: Cu Kα (weighted mean of Kα1 and Kα2). Structure: a crystal structure in Alexandria, relaxed with PBE.

The 10 most intense peaks (2θ from 5° to 70°), by angle:
| 2theta | I/Imax | h k l |
| --- | --- | --- |
| 22.04 | 6.0 | 1 1 -1 |
| 24.55 | 5.8 | 0 0 2 |
| 32.66 | 23.9 | 3 0 -1 |
| 37.07 | 25.3 | 0 2 0 |
| 37.69 | 100.0 | 2 1 -3 |
| 41.74 | 6.8 | 0 1 3 |
| 50.22 | 14.4 | 3 2 -1 |
| 58.21 | 5.1 | 1 0 -5 |
| 58.34 | 9.8 | 5 0 -4 |
| 67.22 | 18.2 | 2 3 -3 |

a = 8.363 Å, b = 4.851 Å, c = 8.381 Å
α = 90.00°, β = 119.92°, γ = 90.00°
Space group P2_1/m (No. 11)
Inequivalent atoms, fractional coordinates:
Y: 0.166 0.250 0.333 (multiplicity 2)
Cd: 0.276 0.750 0.998 (multiplicity 2)
Cd: 0.278 0.250 0.775 (multiplicity 2)
Cd: 0.497 0.250 0.222 (multiplicity 2)
Au: 0.030 0.250 0.918 (multiplicity 2)
Au: 0.112 0.750 0.529 (multiplicity 2)
Au: 0.418 0.750 0.389 (multiplicity 2)


No. 8
This entry pairs a crystal structure of Y6Cd2Au with its computed powder X-ray diffraction pattern. Radiation: Cu Kα (weighted mean of Kα1 and Kα2). Structure: a crystal structure in Alexandria, relaxed with PBE.

The 10 most intense peaks (2θ from 5° to 70°), by angle:
| 2theta | I/Imax | h k l |
| --- | --- | --- |
| 13.72 | 28.0 | 0 1 1 |
| 16.14 | 25.8 | 1 0 0 |
| 26.80 | 19.9 | 1 2 -2 |
| 29.94 | 23.8 | 1 2 1 |
| 31.05 | 33.3 | 1 0 2 |
| 32.64 | 100.0 | 1 3 -1 |
| 33.16 | 51.6 | 2 1 -3 |
| 34.09 | 20.2 | 2 1 0 |
| 35.52 | 20.1 | 0 2 3 |
| 42.01 | 20.3 | 0 3 3 |

a = 6.277 Å, b = 9.164 Å, c = 10.393 Å
α = 90.00°, β = 118.98°, γ = 90.00°
Space group P2_1/c (No. 14)
Inequivalent atoms, fractional coordinates:
Y: 0.059 0.177 0.460 (multiplicity 4)
Y: 0.353 0.679 0.445 (multiplicity 4)
Y: 0.405 0.032 0.297 (multiplicity 4)
Cd: 0.146 0.111 0.762 (multiplicity 4)
Au: 0.000 0.000 0.000 (multiplicity 2)


No. 9
This entry pairs a crystal structure of Zn2Cd3Au3 with its computed powder X-ray diffraction pattern. Radiation: Cu Kα (weighted mean of Kα1 and Kα2). Structure: a crystal structure in Alexandria, relaxed with PBE.

The 10 most intense peaks (2θ from 5° to 70°), by angle:
| 2theta | I/Imax | h k l |
| --- | --- | --- |
| 23.40 | 33.3 | 1 1 0 |
| 36.08 | 62.7 | 2 1 0 |
| 38.59 | 100.0 | 1 1 1 |
| 41.07 | 63.7 | 3 0 0 |
| 47.81 | 11.8 | 2 2 0 |
| 49.93 | 16.2 | 3 1 0 |
| 59.49 | 25.3 | 3 1 1 |
| 62.90 | 8.5 | 0 0 2 |
| 64.83 | 8.5 | 4 0 1 |
| 69.93 | 18.2 | 3 2 1 |

a = 7.6048 Å, b = 7.6048 Å, c = 2.9551 Å
α = 90.00°, β = 90.00°, γ = 120.00°
Space group P-62m (No. 189)
Inequivalent atoms, fractional coordinates:
Zn: 0.3333 0.6667 0.0000 (multiplicity 2)
Cd: 0.0000 0.2448 0.0000 (multiplicity 3)
Au: 0.0000 0.6083 0.5000 (multiplicity 3)


No. 10
This entry pairs a crystal structure of Zn2CdAu5 with its computed powder X-ray diffraction pattern. Radiation: Cu Kα (weighted mean of Kα1 and Kα2). Structure: a crystal structure in Alexandria, relaxed with PBE.

The 10 most intense peaks (2θ from 5° to 70°), by angle:
| 2theta | I/Imax | h k l |
| --- | --- | --- |
| 23.85 | 4.5 | 2 0 0 |
| 25.89 | 7.3 | 1 1 2 |
| 29.12 | 8.5 | 0 2 2 |
| 37.62 | 7.5 | 3 1 0 |
| 37.98 | 100.0 | 2 2 2 |
| 39.35 | 7.4 | 1 3 2 |
| 41.65 | 40.9 | 0 0 4 |
| 48.83 | 9.7 | 4 0 0 |
| 60.36 | 12.6 | 0 4 4 |
| 66.07 | 14.2 | 4 0 4 |

a = 7.461 Å, b = 8.677 Å, c = 8.672 Å
α = 90.00°, β = 90.00°, γ = 90.00°
Space group Cmmm (No. 65)
Inequivalent atoms, fractional coordinates:
Zn: 0.000 0.000 0.248 (multiplicity 4)
Zn: 0.000 0.282 0.500 (multiplicity 4)
Cd: 0.000 0.280 0.000 (multiplicity 4)
Au: 0.000 0.500 0.260 (multiplicity 4)
Au: 0.205 0.000 0.500 (multiplicity 4)
Au: 0.210 0.000 0.000 (multiplicity 4)
Au: 0.250 0.250 0.267 (multiplicity 8)


No. 11
This entry pairs a crystal structure of Zn2Cd5Au5 with its computed powder X-ray diffraction pattern. Radiation: Cu Kα (weighted mean of Kα1 and Kα2). Structure: a crystal structure in Alexandria, relaxed with PBE.

The 10 most intense peaks (2θ from 5° to 70°), by angle:
| 2theta | I/Imax | h k l |
| --- | --- | --- |
| 27.75 | 9.5 | 1 1 2 |
| 30.30 | 25.4 | 1 1 -3 |
| 32.50 | 39.5 | 2 0 3 |
| 35.59 | 36.8 | 1 1 -4 |
| 37.89 | 100.0 | 3 1 -1 |
| 38.14 | 51.4 | 1 1 4 |
| 39.24 | 21.3 | 2 0 -5 |
| 40.83 | 47.3 | 0 2 0 |
| 57.92 | 13.5 | 2 2 -5 |
| 67.86 | 9.3 | 4 2 3 |

a = 8.472 Å, b = 4.420 Å, c = 12.603 Å
α = 90.00°, β = 98.43°, γ = 90.00°
Space group C2/m (No. 12)
Inequivalent atoms, fractional coordinates:
Zn: 0.096 0.000 0.216 (multiplicity 4)
Cd: 0.000 0.500 0.500 (multiplicity 2)
Cd: 0.182 0.000 0.670 (multiplicity 4)
Cd: 0.200 0.500 0.080 (multiplicity 4)
Au: 0.000 0.000 0.000 (multiplicity 2)
Au: 0.092 0.500 0.814 (multiplicity 4)
Au: 0.164 0.000 0.426 (multiplicity 4)


No. 12
This entry pairs a crystal structure of Zn3Cd2Au with its computed powder X-ray diffraction pattern. Radiation: Cu Kα (weighted mean of Kα1 and Kα2). Structure: a crystal structure in Alexandria, relaxed with PBE.

The 10 most intense peaks (2θ from 5° to 70°), by angle:
| 2theta | I/Imax | h k l |
| --- | --- | --- |
| 33.36 | 55.9 | 1 1 1 |
| 33.96 | 28.9 | 0 2 0 |
| 39.27 | 52.1 | 3 1 0 |
| 39.51 | 26.4 | 4 0 -1 |
| 39.77 | 50.1 | 1 1 -2 |
| 40.07 | 100.0 | 3 1 -2 |
| 41.23 | 21.3 | 0 0 2 |
| 41.58 | 41.4 | 2 2 0 |
| 41.86 | 19.3 | 4 0 -2 |
| 64.64 | 23.7 | 2 2 -3 |

a = 9.225 Å, b = 5.279 Å, c = 5.287 Å
α = 90.00°, β = 124.07°, γ = 90.00°
Space group C2/m (No. 12)
Inequivalent atoms, fractional coordinates:
Zn: 0.000 0.000 0.000 (multiplicity 2)
Zn: 0.250 0.250 0.500 (multiplicity 4)
Cd: 0.124 0.500 0.876 (multiplicity 4)
Au: 0.000 0.000 0.500 (multiplicity 2)


No. 13
This entry pairs a crystal structure of ZnCd4Au with its computed powder X-ray diffraction pattern. Radiation: Cu Kα (weighted mean of Kα1 and Kα2). Structure: a crystal structure in Alexandria, relaxed with PBE.

The 10 most intense peaks (2θ from 5° to 70°), by angle:
| 2theta | I/Imax | h k l |
| --- | --- | --- |
| 16.40 | 27.6 | 0 0 2 |
| 18.15 | 20.4 | 1 1 0 |
| 30.07 | 97.2 | 2 1 1 |
| 36.78 | 27.3 | 2 2 0 |
| 38.05 | 79.2 | 1 1 4 |
| 38.37 | 74.1 | 2 1 3 |
| 41.31 | 100.0 | 3 1 0 |
| 42.46 | 62.4 | 2 0 4 |
| 63.95 | 35.3 | 4 0 4 |
| 67.09 | 40.0 | 3 3 4 |

a = 6.912 Å, b = 6.912 Å, c = 10.809 Å
α = 90.00°, β = 90.00°, γ = 90.00°
Space group I4/mcm (No. 140)
Inequivalent atoms, fractional coordinates:
Zn: 0.000 0.000 0.000 (multiplicity 4)
Cd: 0.154 0.346 0.134 (multiplicity 16)
Au: 0.000 0.000 0.250 (multiplicity 4)